[1]
# Ac2PuO5
Simulated XRD peak list, Cu Kα (λ = 1.5418 Å). Input: a structure optimized by DFT (GGA-PBE).

Largest 8 diffraction maxima, most intense first, 2θ = 15–90°:
h k l  Position (°2θ)  intensity
3 0 0  27.05  100
1 2 1  28.68  56
0 2 1  25.93  41
2 2 -1  29.50  35
1 0 2  29.77  32
1 2 -3  44.26  29
3 4 0  53.99  28
3 2 1  40.49  17

Atomic structure:
Cell: 10.3111 7.9272 7.1794 Å, 90.00 106.36 90.00°
Space group P2_1/c (No. 14)
Symmetry-distinct sites (fractional):
Ac 0.0130 0.1288 0.2420 [4 per cell]
Ac 0.3519 0.1258 0.0479 [4 per cell]
Pu 0.3173 0.6044 0.0657 [4 per cell]
O 0.1035 0.6219 0.9817 [4 per cell]
O 0.1074 0.1177 0.9457 [4 per cell]
O 0.2811 0.0978 0.3572 [4 per cell]
O 0.3151 0.6797 0.3639 [4 per cell]
O 0.4403 0.0979 0.7472 [4 per cell]

***

[2]
# Pu2CoNi
Simulated XRD peak list, Cu Kα (λ = 1.5418 Å). Input: a structure optimized by DFT (GGA-PBE).

Largest 8 diffraction maxima, most intense first, 2θ = 15–90°:
h k l  Position (°2θ)  intensity
2 2 0  38.29  100
2 0 0  26.82  40
4 2 2  69.23  35
4 0 0  55.27  17
4 2 0  62.47  17
2 2 2  47.37  12
4 4 0  81.98  11
6 0 0  88.17  9

Atomic structure:
Cell: 6.6485 6.6485 6.6485 Å, 90.00 90.00 90.00°
Space group Fm-3m (No. 225)
Symmetry-distinct sites (fractional):
Pu 0.2500 0.2500 0.2500 [8 per cell]
Co 0.0000 0.0000 0.0000 [4 per cell]
Ni 0.0000 0.0000 0.5000 [4 per cell]

***

[3]
# Nd7DyY3
Simulated XRD peak list, Cu Kα (λ = 1.5418 Å). Input: a structure optimized by DFT (GGA-PBE).

Largest 8 diffraction maxima, most intense first, 2θ = 15–90°:
h k l  Position (°2θ)  intensity
0 0 4  31.57  100
2 2 2  33.30  55
6 0 0  30.89  52
6 0 -4  33.15  30
4 2 -6  50.12  27
6 0 4  54.26  22
0 2 2  29.23  21
6 4 0  60.27  19

Atomic structure:
Cell: 19.3169 7.2487 12.6283 Å, 90.00 115.96 90.00°
Space group C2/c (No. 15)
Symmetry-distinct sites (fractional):
Nd 0.0000 0.2200 0.2500 [4 per cell]
Nd 0.1596 0.4959 0.7753 [8 per cell]
Nd 0.1674 0.2466 0.0279 [8 per cell]
Nd 0.1680 0.2484 0.5291 [8 per cell]
Dy 0.0000 0.0000 0.0000 [4 per cell]
Y 0.0000 0.5000 0.0000 [4 per cell]
Y 0.1693 0.0013 0.2745 [8 per cell]

***

[4]
# Pm2SnRh2
Simulated XRD peak list, Cu Kα (λ = 1.5418 Å). Input: a structure optimized by DFT (GGA-PBE).

Largest 8 diffraction maxima, most intense first, 2θ = 15–90°:
h k l  Position (°2θ)  intensity
1 1 -3  36.71  100
0 2 1  33.81  65
2 2 1  39.99  64
2 0 2  32.55  54
3 1 1  35.94  52
3 1 -1  31.02  48
2 2 -1  37.08  45
3 1 -2  34.59  44

Atomic structure:
Cell: 10.2044 5.6309 8.1567 Å, 90.00 104.95 90.00°
Space group C2/c (No. 15)
Symmetry-distinct sites (fractional):
Pm 0.1473 0.1571 0.1486 [8 per cell]
Sn 0.0000 0.3408 0.7500 [4 per cell]
Rh 0.1372 0.3623 0.5013 [8 per cell]

***

[5]
# Sm3U2Ru4
Simulated XRD peak list, Cu Kα (λ = 1.5418 Å). Input: a structure optimized by DFT (GGA-PBE).

Largest 8 diffraction maxima, most intense first, 2θ = 15–90°:
h k l  Position (°2θ)  intensity
3 1 0  32.28  100
4 0 1  34.27  88
3 1 -1  31.62  87
1 1 -2  31.15  55
3 1 -3  40.35  53
1 1 2  34.41  50
0 2 0  48.34  50
0 0 3  32.09  49

Atomic structure:
Cell: 13.0441 3.7658 8.8772 Å, 90.00 109.50 90.00°
Space group C2/m (No. 12)
Symmetry-distinct sites (fractional):
Sm 0.0000 0.0000 0.0000 [2 per cell]
Sm 0.0995 0.5000 0.7092 [4 per cell]
U 0.1842 0.5000 0.3209 [4 per cell]
Ru 0.0990 0.0000 0.4333 [4 per cell]
Ru 0.2078 0.5000 0.0809 [4 per cell]

***

[6]
# Tb2ZnCuSi2
Simulated XRD peak list, Cu Kα (λ = 1.5418 Å). Input: a structure optimized by DFT (GGA-PBE).

Largest 8 diffraction maxima, most intense first, 2θ = 15–90°:
h k l  Position (°2θ)  intensity
1 0 2  33.63  100
0 2 0  44.26  34
0 1 1  25.12  30
2 2 0  64.85  22
1 3 1  74.63  19
1 2 2  56.70  15
2 0 0  44.86  11
3 0 2  75.51  9

Atomic structure:
Cell: 4.0407 4.0954 7.0852 Å, 90.00 90.00 90.00°
Space group Pmm2 (No. 25)
Symmetry-distinct sites (fractional):
Tb 0.0000 0.0000 0.0000 [1 per cell]
Tb 0.0000 0.5000 0.4910 [1 per cell]
Zn 0.5000 0.5000 0.8298 [1 per cell]
Cu 0.5000 0.0000 0.3262 [1 per cell]
Si 0.5000 0.0000 0.6550 [1 per cell]
Si 0.5000 0.5000 0.1682 [1 per cell]

***

[7]
# YPuMgTl
Simulated XRD peak list, Cu Kα (λ = 1.5418 Å). Input: a structure optimized by DFT (GGA-PBE).

Largest 8 diffraction maxima, most intense first, 2θ = 15–90°:
h k l  Position (°2θ)  intensity
2 2 0  33.35  100
4 2 2  59.61  38
1 1 1  20.24  37
3 1 1  39.33  22
4 0 0  47.89  18
6 2 0  79.83  17
4 4 0  70.05  12
3 3 1  52.49  10

Atomic structure:
Cell: 7.5983 7.5983 7.5983 Å, 90.00 90.00 90.00°
Space group F-43m (No. 216)
Symmetry-distinct sites (fractional):
Y 0.0000 0.0000 0.0000 [4 per cell]
Pu 0.0000 0.0000 0.5000 [4 per cell]
Mg 0.2500 0.2500 0.7500 [4 per cell]
Tl 0.2500 0.2500 0.2500 [4 per cell]

***

[8]
# Ag2I6Br
Simulated XRD peak list, Cu Kα (λ = 1.5418 Å). Input: a structure optimized by DFT (GGA-PBE).

Largest 8 diffraction maxima, most intense first, 2θ = 15–90°:
h k l  Position (°2θ)  intensity
1 1 3  21.57  100
3 1 -5  32.56  26
1 3 4  40.85  19
0 2 3  26.83  19
4 2 0  37.36  18
0 2 0  21.77  18
5 1 3  45.59  18
4 2 -2  37.02  12

Atomic structure:
Cell: 12.2007 8.1633 17.5379 Å, 90.00 102.27 90.00°
Space group C2/c (No. 15)
Symmetry-distinct sites (fractional):
Ag 0.1407 0.0165 0.1978 [8 per cell]
I 0.0340 0.2180 0.8917 [8 per cell]
I 0.1894 0.1801 0.5705 [8 per cell]
I 0.2421 0.1937 0.8315 [8 per cell]
Br 0.0000 0.2108 0.2500 [4 per cell]

***

[9]
# BiTePd
Simulated XRD peak list, Cu Kα (λ = 1.5418 Å). Input: a structure optimized by DFT (GGA-PBE).

Largest 8 diffraction maxima, most intense first, 2θ = 15–90°:
h k l  Position (°2θ)  intensity
1 1 -1  29.52  100
1 0 2  30.67  48
0 1 3  43.97  36
2 1 1  42.19  22
0 2 0  43.28  21
1 2 2  53.97  20
2 1 -1  41.35  19
2 0 0  33.13  15

Atomic structure:
Cell: 5.4115 4.1811 7.1038 Å, 90.00 92.25 90.00°
Space group P2_1/m (No. 11)
Symmetry-distinct sites (fractional):
Bi 0.2444 0.2500 0.0942 [2 per cell]
Te 0.2693 0.7500 0.6046 [2 per cell]
Pd 0.0079 0.2500 0.7311 [2 per cell]

***

[10]
# ErNbGa2O8
Simulated XRD peak list, Cu Kα (λ = 1.5418 Å). Input: a structure optimized by DFT (GGA-PBE).

Largest 8 diffraction maxima, most intense first, 2θ = 15–90°:
h k l  Position (°2θ)  intensity
2 0 0  26.13  100
1 1 2  33.20  79
3 1 2  50.77  65
1 0 1  18.84  23
2 2 0  37.29  21
3 3 2  64.66  19
4 0 0  53.76  16
2 0 4  63.30  15

Atomic structure:
Cell: 6.8208 6.8208 6.5121 Å, 90.00 90.00 90.00°
Space group I-4m2 (No. 119)
Symmetry-distinct sites (fractional):
Er 0.0000 0.0000 0.0000 [2 per cell]
Nb 0.0000 0.5000 0.2500 [2 per cell]
Ga 0.0000 0.0000 0.5000 [2 per cell]
Ga 0.0000 0.5000 0.7500 [2 per cell]
O 0.0000 0.2040 0.3132 [8 per cell]
O 0.0000 0.3232 0.9631 [8 per cell]

***

[11]
# PrSm2ScTe4
Simulated XRD peak list, Cu Kα (λ = 1.5418 Å). Input: a structure optimized by DFT (GGA-PBE).

Largest 8 diffraction maxima, most intense first, 2θ = 15–90°:
h k l  Position (°2θ)  intensity
1 1 1  28.65  100
1 1 -3  40.78  25
3 1 -1  41.13  25
2 2 -2  51.13  13
2 0 2  40.51  13
0 2 0  41.42  12
2 2 2  59.32  12
4 2 0  67.41  11

Atomic structure:
Cell: 7.6201 4.3598 7.7038 Å, 90.00 108.92 90.00°
Space group P2/m (No. 10)
Symmetry-distinct sites (fractional):
Pr 0.0000 0.0000 0.0000 [1 per cell]
Sm 0.5000 0.0000 0.5000 [1 per cell]
Sm 0.5000 0.5000 0.0000 [1 per cell]
Sc 0.0000 0.5000 0.5000 [1 per cell]
Te 0.2374 0.0000 0.7331 [2 per cell]
Te 0.2469 0.5000 0.2619 [2 per cell]

***

[12]
# LaZn9Co2
Simulated XRD peak list, Cu Kα (λ = 1.5418 Å). Input: a structure optimized by DFT (GGA-PBE).

Largest 8 diffraction maxima, most intense first, 2θ = 15–90°:
h k l  Position (°2θ)  intensity
3 1 2  37.88  100
4 2 0  38.56  74
5 0 1  45.41  56
4 2 2  47.14  36
1 0 3  40.51  34
3 2 1  33.61  32
5 5 2  69.32  27
1 1 2  28.78  25

Atomic structure:
Cell: 10.4409 10.4409 6.8373 Å, 90.00 90.00 90.00°
Space group I4_1/amd (No. 141, origin choice 2)
Symmetry-distinct sites (fractional):
La 0.0000 0.2500 0.3750 [4 per cell]
Zn 0.0000 0.2500 0.8750 [4 per cell]
Zn 0.1224 0.0458 0.6915 [32 per cell]
Co 0.0000 0.0000 0.0000 [8 per cell]